(1)
# Ho4Tl2Ga
Computed XRD peak list, Cu Kα X-rays. Input: a structure optimized by DFT (PBE).
Lines closer than 0.1° are merged.

Structure:
Cell: 6.9366 8.3244 8.3515 Å, 79.67 65.49 65.56°
Space group P-1 (No. 2)
Asymmetric unit:
1 Ho 0.1722 0.3109 0.3454 (multiplicity 2)
2 Ho 0.1732 0.8411 0.8106 (multiplicity 2)
3 Ho 0.2082 0.2844 0.7832 (multiplicity 2)
4 Ho 0.2765 0.7161 0.2171 (multiplicity 2)
5 Tl 0.0000 0.0000 0.5000 (multiplicity 1)
6 Tl 0.5000 0.0000 0.0000 (multiplicity 1)
7 Tl 0.5000 0.0000 0.5000 (multiplicity 1)
8 Tl 0.5000 0.5000 0.5000 (multiplicity 1)
9 Ga 0.2538 0.4945 0.9986 (multiplicity 2)

Most intense lines, 15 to 90 degrees two-theta, low angle first:
Position (°2θ), Rel. int.
26.2, 32
28.0, 66
30.7, 100
30.8, 95
32.7, 74
33.6, 97
37.0, 40
37.1, 29
44.3, 34
58.3, 28

***

(2)
# Pm2Pr4Sm2Mg
Computed XRD peak list, Cu Kα X-rays. Input: a structure optimized by DFT (PBE).
Lines closer than 0.1° are merged.

Structure:
Cell: 5.9430 6.7790 8.8042 Å, 80.85 71.36 66.30°
Space group P-1 (No. 2)
Asymmetric unit:
1 Pm 0.0692 0.1129 0.2906 (multiplicity 2)
2 Pr 0.2245 0.3070 0.8278 (multiplicity 2)
3 Pr 0.2873 0.5154 0.3822 (multiplicity 2)
4 Sm 0.3260 0.7733 0.9655 (multiplicity 2)
5 Mg 0.5000 0.0000 0.5000 (multiplicity 1)

Most intense lines, 15 to 90 degrees two-theta, low angle first:
Position (°2θ), Rel. int.
30.1, 48
30.4, 52
31.0, 100
31.6, 46
31.7, 54
42.3, 16
44.3, 17
46.4, 16
55.4, 10
56.4, 18

***

Question: What is the formula in the second record?
Answer: Pm2Pr4Sm2Mg

***

Question: What is the formula in the first record?
Answer: Ho4Tl2Ga

***

Question: Number 1 is which compound?
Answer: Ho4Tl2Ga